Simulated XRD peak list
Compound: Cr2PdO6
Radiation: Cu Ka
Structure: a crystal structure in Alexandria, relaxed with GGA+U
Neutral-atom scattering factors, no anomalous dispersion.

Structural model:
Unit cell a=4.594 b=5.183 c=8.241 alpha=90.00 beta=90.00 gamma=90.00
Space group Pnnm (No. 58)
Unique sites:
1 Cr 0.000 0.000 0.188
2 Pd 0.000 0.500 0.000
3 O 0.198 0.157 0.000
4 O 0.236 0.674 0.174

Top 6 peaks for 2θ = 15–90°, low angle first:
22.16 deg, rel. 100
33.96 deg, rel. 77
37.04 deg, rel. 24
41.48 deg, rel. 29
53.30 deg, rel. 21
55.05 deg, rel. 34